Record 1
# Li5Zn2Ag4
Calculated powder diffractogram, CuKα. Input: a crystal structure in Alexandria, relaxed with PBE.
No peak broadening, texture or thermal motion is included.

Cell and atoms:
```
data_Li5Zn2Ag4
_chemical_formula_sum 'Li10 Zn4 Ag8'
_cell_length_a 2.8475
_cell_length_b 8.0939
_cell_length_c 17.9756
_cell_angle_alpha 90.00
_cell_angle_beta 90.00
_cell_angle_gamma 90.00
_space_group_name_H-M_alt 'I m m m'
_space_group_IT_number 71
_space_group_name_Hall '-I 2 2'
loop_
_atom_site_label
_atom_site_type_symbol
_atom_site_fract_x
_atom_site_fract_y
_atom_site_fract_z
Li1 Li 0.0000 0.0000 0.0000
Li2 Li 0.0000 0.2741 0.3458
Zn1 Zn 0.0000 0.5000 0.2396
Ag1 Ag 0.0000 0.2252 0.5000
Ag2 Ag 0.0000 0.5000 0.0946
```

Top 10 peaks for 2θ = 5–70°, sorted by position:
2θ 9.8, rel. 41, hkl 0 0 2; 2θ 12.0, rel. 100, hkl 0 1 1; 2θ 24.1, rel. 28, hkl 0 2 2; 2θ 33.4, rel. 19, hkl 1 1 0; 2θ 34.9, rel. 15, hkl 1 0 3; 2θ 37.3, rel. 41, hkl 0 2 6; 2θ 39.0, rel. 43, hkl 1 2 1; 2θ 40.4, rel. 16, hkl 1 0 5; 2θ 45.3, rel. 21, hkl 1 1 6; 2θ 46.4, rel. 14, hkl 1 3 0

***

Record 2
# HfCr
Calculated powder diffractogram, CuKα. Input: a crystal structure in Alexandria, relaxed with PBE.
No peak broadening, texture or thermal motion is included.

Cell and atoms:
```
data_HfCr
_chemical_formula_sum 'Hf8 Cr8'
_cell_length_a 7.6418
_cell_length_b 7.6418
_cell_length_c 4.7439
_cell_angle_alpha 90.00
_cell_angle_beta 90.00
_cell_angle_gamma 90.00
_space_group_name_H-M_alt 'I 4/m m m'
_space_group_IT_number 139
_space_group_name_Hall '-I 4 2'
loop_
_atom_site_label
_atom_site_type_symbol
_atom_site_fract_x
_atom_site_fract_y
_atom_site_fract_z
Hf1 Hf 0.0000 0.2950 0.0000
Cr1 Cr 0.1485 0.1485 0.5000
```

Top 10 peaks for 2θ = 5–70°, sorted by position:
2θ 16.4, rel. 9, hkl 1 1 0; 2θ 22.1, rel. 10, hkl 1 0 1; 2θ 32.3, rel. 69, hkl 2 1 1; 2θ 33.2, rel. 42, hkl 2 2 0; 2θ 37.9, rel. 37, hkl 0 0 2; 2θ 40.2, rel. 100, hkl 3 0 1; 2θ 50.7, rel. 19, hkl 3 3 0; 2θ 51.3, rel. 25, hkl 2 2 2; 2θ 65.0, rel. 28, hkl 3 3 2; 2θ 69.1, rel. 26, hkl 5 2 1

***

Record 3
# Ce2PuAu5
Calculated powder diffractogram, CuKα. Input: a crystal structure in Alexandria, relaxed with PBE.
No peak broadening, texture or thermal motion is included.

Cell and atoms:
```
data_Ce2PuAu5
_chemical_formula_sum 'Ce4 Pu2 Au10'
_cell_length_a 5.1419
_cell_length_b 5.1419
_cell_length_c 14.1850
_cell_angle_alpha 90.00
_cell_angle_beta 90.00
_cell_angle_gamma 90.00
_space_group_name_H-M_alt 'I 4/m m m'
_space_group_IT_number 139
_space_group_name_Hall '-I 4 2'
loop_
_atom_site_label
_atom_site_type_symbol
_atom_site_fract_x
_atom_site_fract_y
_atom_site_fract_z
Ce1 Ce 0.0000 0.0000 0.2304
Pu1 Pu 0.0000 0.0000 0.5000
Au1 Au 0.0000 0.0000 0.0000
Au2 Au 0.0000 0.5000 0.1202
```

Top 10 peaks for 2θ = 5–70°, sorted by position:
2θ 12.5, rel. 5, hkl 0 0 2; 2θ 25.6, rel. 2, hkl 1 0 3; 2θ 34.9, rel. 55, hkl 2 0 0; 2θ 35.4, rel. 100, hkl 1 1 4; 2θ 37.2, rel. 2, hkl 2 0 2; 2θ 45.8, rel. 3, hkl 1 1 6; 2θ 50.2, rel. 20, hkl 2 2 0; 2θ 51.5, rel. 7, hkl 0 0 8; 2θ 62.9, rel. 38, hkl 3 1 4; 2θ 63.8, rel. 16, hkl 2 0 8

***

Record 4
# HfNbMo
Calculated powder diffractogram, CuKα. Input: a crystal structure in Alexandria, relaxed with PBE.
No peak broadening, texture or thermal motion is included.

Cell and atoms:
```
data_HfNbMo
_chemical_formula_sum 'Hf4 Nb4 Mo4'
_cell_length_a 5.3674
_cell_length_b 5.5512
_cell_length_c 7.6578
_cell_angle_alpha 90.00
_cell_angle_beta 90.00
_cell_angle_gamma 90.00
_space_group_name_H-M_alt 'I m m a'
_space_group_IT_number 74
_space_group_name_Hall '-I 2b 2'
loop_
_atom_site_label
_atom_site_type_symbol
_atom_site_fract_x
_atom_site_fract_y
_atom_site_fract_z
Hf1 Hf 0.0000 0.2500 0.1235
Nb1 Nb 0.0000 0.0000 0.5000
Mo1 Mo 0.2500 0.2500 0.7500
```

Top 10 peaks for 2θ = 5–70°, sorted by position:
2θ 32.3, rel. 18, hkl 0 2 0; 2θ 33.0, rel. 68, hkl 1 1 2; 2θ 38.4, rel. 71, hkl 1 2 1; 2θ 38.8, rel. 36, hkl 0 1 3; 2θ 39.1, rel. 100, hkl 2 1 1; 2θ 40.1, rel. 23, hkl 0 2 2; 2θ 41.1, rel. 23, hkl 2 0 2; 2θ 62.1, rel. 17, hkl 2 3 1; 2θ 63.0, rel. 24, hkl 3 2 1; 2θ 69.1, rel. 35, hkl 2 2 4

***

Record 5
# TaSb3S8
Calculated powder diffractogram, CuKα. Input: a crystal structure in Alexandria, relaxed with PBE.
No peak broadening, texture or thermal motion is included.

Cell and atoms:
```
data_TaSb3S8
_chemical_formula_sum 'Ta2 Sb6 S16'
_cell_length_a 12.9835
_cell_length_b 7.5098
_cell_length_c 8.1090
_cell_angle_alpha 90.00
_cell_angle_beta 122.47
_cell_angle_gamma 90.00
_space_group_name_H-M_alt 'C 1 2/m 1'
_space_group_IT_number 12
_space_group_name_Hall '-C 2y'
loop_
_atom_site_label
_atom_site_type_symbol
_atom_site_fract_x
_atom_site_fract_y
_atom_site_fract_z
Ta1 Ta 0.0000 0.0000 0.0000
Sb1 Sb 0.0000 0.5000 0.0000
Sb2 Sb 0.2500 0.2500 0.0000
S1 S 0.0081 0.2328 0.7920
S2 S 0.2256 0.0000 0.2085
S3 S 0.2438 0.5000 0.2265
```

Top 10 peaks for 2θ = 5–70°, sorted by position:
2θ 12.9, rel. 100, hkl 0 0 1; 2θ 27.8, rel. 36, hkl 4 0 -1; 2θ 28.8, rel. 9, hkl 4 0 -2; 2θ 32.6, rel. 37, hkl 2 2 -2; 2θ 32.7, rel. 18, hkl 4 0 0; 2θ 35.2, rel. 14, hkl 2 2 1; 2θ 41.4, rel. 14, hkl 2 2 -3; 2θ 45.1, rel. 13, hkl 2 2 2; 2θ 48.6, rel. 12, hkl 6 2 -2; 2θ 50.4, rel. 12, hkl 6 2 -3

***

Record 6
# Tb2YH8
Calculated powder diffractogram, CuKα. Input: a crystal structure in Alexandria, relaxed with PBE.
No peak broadening, texture or thermal motion is included.

Cell and atoms:
```
data_Tb2YH8
_chemical_formula_sum 'Tb4 Y2 H16'
_cell_length_a 3.6627
_cell_length_b 5.1487
_cell_length_c 10.9837
_cell_angle_alpha 90.00
_cell_angle_beta 90.00
_cell_angle_gamma 90.00
_space_group_name_H-M_alt 'I m m m'
_space_group_IT_number 71
_space_group_name_Hall '-I 2 2'
loop_
_atom_site_label
_atom_site_type_symbol
_atom_site_fract_x
_atom_site_fract_y
_atom_site_fract_z
Tb1 Tb 0.0000 0.0000 0.1687
Y1 Y 0.0000 0.0000 0.5000
H1 H 0.0000 0.2312 0.0000
H2 H 0.0000 0.2599 0.3396
H3 H 0.0000 0.5000 0.1603
```

Top 10 peaks for 2θ = 5–70°, sorted by position:
2θ 16.1, rel. 4, hkl 0 0 2; 2θ 19.0, rel. 3, hkl 0 1 1; 2θ 29.9, rel. 100, hkl 1 1 0; 2θ 34.6, rel. 33, hkl 1 0 3; 2θ 34.9, rel. 17, hkl 0 2 0; 2θ 49.8, rel. 13, hkl 2 0 0; 2θ 50.0, rel. 25, hkl 1 2 3; 2θ 59.2, rel. 29, hkl 2 1 3; 2θ 59.5, rel. 14, hkl 1 3 0; 2θ 62.2, rel. 12, hkl 2 2 0

***

Record 7
# Al2Se3
Calculated powder diffractogram, CuKα. Input: a crystal structure in Alexandria, relaxed with PBE.
No peak broadening, texture or thermal motion is included.

Cell and atoms:
```
data_Al2Se3
_chemical_formula_sum 'Al32 Se48'
_cell_length_a 7.5278
_cell_length_b 7.5278
_cell_length_c 31.9568
_cell_angle_alpha 90.00
_cell_angle_beta 90.00
_cell_angle_gamma 90.00
_space_group_name_H-M_alt 'I 41/a m d'
_space_group_IT_number 141
loop_
_space_group_symop_operation_xyz
'x,y,z'
'-x,-y,-z'
'-y+1/4,x+3/4,z+1/4'
'y+1/4,-x+3/4,-z+1/4'
'-x+1/2,-y,z+1/2'
'x+1/2,y,-z+1/2'
'y+1/4,-x+1/4,z+3/4'
'-y+1/4,x+1/4,-z+3/4'
'x,-y,-z'
'-x,y,z'
'-y+1/4,-x+1/4,-z+3/4'
'y+1/4,x+1/4,z+3/4'
'-x+1/2,y,-z+1/2'
'x+1/2,-y,z+1/2'
'y+1/4,x+3/4,-z+1/4'
'-y+1/4,-x+3/4,z+1/4'
'x+1/2,y+1/2,z+1/2'
'-x+1/2,-y+1/2,-z+1/2'
'-y+3/4,x+1/4,z+3/4'
'y+3/4,-x+1/4,-z+3/4'
'-x,-y+1/2,z'
'x,y+1/2,-z'
'y+3/4,-x+3/4,z+1/4'
'-y+3/4,x+3/4,-z+1/4'
'x+1/2,-y+1/2,-z+1/2'
'-x+1/2,y+1/2,z+1/2'
'-y+3/4,-x+3/4,-z+1/4'
'y+3/4,x+3/4,z+1/4'
'-x,y+1/2,-z'
'x,-y+1/2,z'
'y+3/4,x+1/4,-z+3/4'
'-y+3/4,-x+1/4,z+3/4'
loop_
_atom_site_label
_atom_site_type_symbol
_atom_site_fract_x
_atom_site_fract_y
_atom_site_fract_z
Al1 Al 0.0000 0.0000 0.0000
Al2 Al 0.0000 0.0227 0.6684
Al3 Al 0.0000 0.2500 0.2047
Se1 Se 0.0000 0.0084 0.7495
Se2 Se 0.0000 0.0097 0.0783
Se3 Se 0.0000 0.0205 0.4128
```

Top 10 peaks for 2θ = 5–70°, sorted by position:
2θ 14.4, rel. 11, hkl 1 0 3; 2θ 27.8, rel. 5, hkl 2 1 3; 2θ 29.1, rel. 100, hkl 2 0 6; 2θ 33.7, rel. 90, hkl 2 2 0; 2θ 44.2, rel. 11, hkl 1 0 15; 2θ 48.4, rel. 74, hkl 4 0 0; 2θ 57.4, rel. 39, hkl 4 2 6; 2θ 60.2, rel. 20, hkl 4 0 12; 2θ 62.3, rel. 5, hkl 3 2 15; 2θ 67.6, rel. 3, hkl 4 1 15

***

Record 8
# Cs2TlBr6F
Calculated powder diffractogram, CuKα. Input: a crystal structure in Alexandria, relaxed with PBE.
No peak broadening, texture or thermal motion is included.

Cell and atoms:
```
data_Cs2TlBr6F
_chemical_formula_sum 'Cs4 Tl2 Br12 F2'
_cell_length_a 7.4976
_cell_length_b 7.4976
_cell_length_c 12.5305
_cell_angle_alpha 90.00
_cell_angle_beta 90.00
_cell_angle_gamma 90.00
_space_group_name_H-M_alt 'I 4/m m m'
_space_group_IT_number 139
_space_group_name_Hall '-I 4 2'
loop_
_atom_site_label
_atom_site_type_symbol
_atom_site_fract_x
_atom_site_fract_y
_atom_site_fract_z
Cs1 Cs 0.0000 0.5000 0.2500
Tl1 Tl 0.0000 0.0000 0.0000
Br1 Br 0.0000 0.0000 0.2251
Br2 Br 0.2409 0.2409 0.5000
F1 F 0.0000 0.0000 0.5000
```

Top 10 peaks for 2θ = 5–70°, sorted by position:
2θ 13.8, rel. 61, hkl 1 0 1; 2θ 22.0, rel. 66, hkl 1 1 2; 2θ 23.7, rel. 26, hkl 2 0 0; 2θ 27.5, rel. 36, hkl 2 1 1; 2θ 27.7, rel. 100, hkl 2 0 2; 2θ 28.5, rel. 75, hkl 0 0 4; 2θ 33.8, rel. 100, hkl 2 2 0; 2θ 44.8, rel. 84, hkl 2 2 4; 2θ 48.6, rel. 35, hkl 4 0 0; 2θ 57.3, rel. 40, hkl 4 0 4

***

Record 9
# HfCu2Pd2
Calculated powder diffractogram, CuKα. Input: a crystal structure in Alexandria, relaxed with PBE.
No peak broadening, texture or thermal motion is included.

Cell and atoms:
```
data_HfCu2Pd2
_chemical_formula_sum 'Hf4 Cu8 Pd8'
_cell_length_a 9.2955
_cell_length_b 4.8033
_cell_length_c 7.3234
_cell_angle_alpha 90.00
_cell_angle_beta 112.73
_cell_angle_gamma 90.00
_space_group_name_H-M_alt 'C 1 2/c 1'
_space_group_IT_number 15
_space_group_name_Hall '-C 2yc'
loop_
_atom_site_label
_atom_site_type_symbol
_atom_site_fract_x
_atom_site_fract_y
_atom_site_fract_z
Hf1 Hf 0.0000 0.1701 0.2500
Cu1 Cu 0.1093 0.3389 0.9519
Pd1 Pd 0.1875 0.1726 0.6469
```

Top 10 peaks for 2θ = 5–70°, sorted by position:
2θ 22.8, rel. 24, hkl 1 1 -1; 2θ 34.5, rel. 23, hkl 3 1 -1; 2θ 37.2, rel. 43, hkl 1 1 2; 2θ 37.4, rel. 25, hkl 0 2 0; 2θ 40.2, rel. 71, hkl 4 0 -2; 2θ 41.8, rel. 100, hkl 1 1 -3; 2θ 42.7, rel. 89, hkl 2 2 -1; 2θ 43.2, rel. 88, hkl 3 1 1; 2θ 66.9, rel. 15, hkl 2 0 4; 2θ 67.4, rel. 30, hkl 1 3 2

***

Record 10
# LiSm4Tm4O12
Calculated powder diffractogram, CuKα. Input: a crystal structure in Alexandria, relaxed with PBE.
No peak broadening, texture or thermal motion is included.

Cell and atoms:
```
data_LiSm4Tm4O12
_chemical_formula_sum 'Li1 Sm4 Tm4 O12'
_cell_length_a 5.7288
_cell_length_b 6.1363
_cell_length_c 8.3811
_cell_angle_alpha 88.85
_cell_angle_beta 89.12
_cell_angle_gamma 88.89
_space_group_name_H-M_alt 'P 1'
_space_group_IT_number 1
_space_group_name_Hall 'P 1'
loop_
_atom_site_label
_atom_site_type_symbol
_atom_site_fract_x
_atom_site_fract_y
_atom_site_fract_z
Li1 Li 0.0000 0.0000 0.0000
Sm1 Sm 0.1089 0.1877 0.5833
Sm2 Sm 0.1362 0.3571 0.1413
Sm3 Sm 0.5897 0.7954 0.0831
Sm4 Sm 0.6574 0.6835 0.5896
Tm1 Tm 0.1270 0.7725 0.3504
Tm2 Tm 0.1348 0.7054 0.8221
Tm3 Tm 0.6072 0.2356 0.8477
Tm4 Tm 0.6252 0.2515 0.3476
O1 O 0.2746 0.8155 0.5954
O2 O 0.2862 0.0970 0.3133
O3 O 0.3150 0.0224 0.9288
O4 O 0.4164 0.5260 0.9388
O5 O 0.4466 0.5758 0.2847
O6 O 0.4771 0.3260 0.6036
O7 O 0.7702 0.1705 0.0977
O8 O 0.8202 0.9251 0.7956
O9 O 0.8202 0.9619 0.4390
O10 O 0.9130 0.4379 0.7586
O11 O 0.9396 0.4542 0.4035
O12 O 0.9883 0.7131 0.0947
```

Top 10 peaks for 2θ = 5–70°, sorted by position:
2θ 29.1, rel. 40, hkl 0 2 0; 2θ 29.7, rel. 46, hkl 1 1 2; 2θ 30.3, rel. 100, hkl 1 -1 2; 2θ 30.4, rel. 57, hkl 1 1 -2; 2θ 31.2, rel. 51, hkl 2 0 0; 2θ 42.8, rel. 19, hkl 2 2 0; 2θ 43.2, rel. 21, hkl 0 0 4; 2θ 43.7, rel. 15, hkl 2 -2 0; 2θ 53.5, rel. 13, hkl 0 2 -4; 2θ 55.1, rel. 24, hkl 3 1 -2

***

Record 11
# Ho3Er7Th
Calculated powder diffractogram, CuKα. Input: a crystal structure in Alexandria, relaxed with PBE.
No peak broadening, texture or thermal motion is included.

Cell and atoms:
```
data_Ho3Er7Th
_chemical_formula_sum 'Ho3 Er7 Th1'
_cell_length_a 6.9777
_cell_length_b 6.9777
_cell_length_c 8.5684
_cell_angle_alpha 90.00
_cell_angle_beta 90.00
_cell_angle_gamma 120.00
_space_group_name_H-M_alt 'P 3 m 1'
_space_group_IT_number 156
_space_group_name_Hall 'P 3 -2"'
loop_
_atom_site_label
_atom_site_type_symbol
_atom_site_fract_x
_atom_site_fract_y
_atom_site_fract_z
Ho1 Ho 0.0024 0.5012 0.0000
Er1 Er 0.1693 0.3385 0.3384
Er2 Er 0.3352 0.1676 0.6660
Er3 Er 0.6667 0.3333 0.3330
Th1 Th 0.3333 0.6667 0.6665
```

Top 10 peaks for 2θ = 5–70°, sorted by position:
2θ 10.3, rel. 5, hkl 0 0 1; 2θ 14.7, rel. 6, hkl 1 0 0; 2θ 18.0, rel. 4, hkl 0 1 1; 2θ 31.4, rel. 100, hkl 0 2 1; 2θ 36.4, rel. 51, hkl 2 0 2; 2θ 52.4, rel. 36, hkl 2 2 0; 2θ 62.3, rel. 32, hkl 2 2 3; 2θ 62.4, rel. 11, hkl 4 0 1; 2θ 65.3, rel. 3, hkl 0 0 6; 2θ 65.5, rel. 9, hkl 0 4 2

***

Record 12
# YMo4
Calculated powder diffractogram, CuKα. Input: a crystal structure in Alexandria, relaxed with PBE.
No peak broadening, texture or thermal motion is included.

Cell and atoms:
```
data_YMo4
_chemical_formula_sum 'Y2 Mo8'
_cell_length_a 4.3765
_cell_length_b 4.3765
_cell_length_c 10.5144
_cell_angle_alpha 90.00
_cell_angle_beta 90.00
_cell_angle_gamma 90.00
_space_group_name_H-M_alt 'I 4/m m m'
_space_group_IT_number 139
_space_group_name_Hall '-I 4 2'
loop_
_atom_site_label
_atom_site_type_symbol
_atom_site_fract_x
_atom_site_fract_y
_atom_site_fract_z
Y1 Y 0.0000 0.0000 0.0000
Mo1 Mo 0.0000 0.0000 0.3777
Mo2 Mo 0.0000 0.5000 0.2500
```

Top 10 peaks for 2θ = 5–70°, sorted by position:
2θ 16.9, rel. 16, hkl 0 0 2; 2θ 32.7, rel. 62, hkl 1 0 3; 2θ 33.6, rel. 100, hkl 1 1 2; 2θ 41.3, rel. 76, hkl 2 0 0; 2θ 45.3, rel. 45, hkl 1 1 4; 2θ 48.0, rel. 24, hkl 1 0 5; 2θ 53.6, rel. 29, hkl 2 1 3; 2θ 59.8, rel. 24, hkl 2 2 0; 2θ 60.7, rel. 14, hkl 1 1 6; 2θ 65.1, rel. 19, hkl 2 1 5